# 1
This entry pairs a crystal structure of La3Rh2 with its simulated PXRD pattern. Radiation: CuKα. Structure: a cell relaxed with PBE.

Top 6 peaks for 2θ from 10° to 90°, in order of rising 2θ:
index  Position (°2θ)  Rel. int.
3 -1 1  30.8  66
0 0 6  31.3  39
3 -2 2  32.1  100
3 0 0  34.5  77
2 1 4  37.0  69
2 -1 6  37.3  75

a = 8.9986 Å, b = 8.9986 Å, c = 17.1588 Å
α = 90.00°, β = 90.00°, γ = 120.00°
Space group R-3 (No. 148, hexagonal axes)
Unique sites:
La  0.0000  0.0000  0.0000 [3 per cell]
La  0.0000  0.0000  0.2021 [6 per cell]
La  0.0169  0.7569  0.5926 [18 per cell]
Rh  0.0196  0.4050  0.5706 [18 per cell]

=====

# 2
This entry pairs a crystal structure of Ta14Cu3S24 with its simulated PXRD pattern. Radiation: CuKα. Structure: a cell relaxed with PBE.

Top 6 peaks for 2θ from 10° to 90°, in order of rising 2θ:
index  Position (°2θ)  Rel. int.
0 0 2  13.7  100
0 0 4  27.6  24
2 -2 0  30.9  30
0 3 0  31.1  60
2 -2 2  35.0  24
2 -5 0  55.0  30

a = 6.6797 Å, b = 8.8165 Å, c = 13.0946 Å
α = 92.36°, β = 97.84°, γ = 101.40°
Space group P1 (No. 1)
Unique sites:
Ta  0.0000  0.0000  0.0000 [1 per cell]
Ta  0.0236  0.6106  0.5148 [1 per cell]
Ta  0.1571  0.6730  0.0039 [1 per cell]
Ta  0.1919  0.2796  0.5114 [1 per cell]
Ta  0.2808  0.3240  0.7593 [1 per cell]
Ta  0.3270  0.3351  0.0057 [1 per cell]
Ta  0.3632  0.9494  0.5160 [1 per cell]
Ta  0.4893  0.9955  0.0010 [1 per cell]
Ta  0.5266  0.6115  0.5116 [1 per cell]
Ta  0.5760  0.6227  0.7585 [1 per cell]
Ta  0.6630  0.6657  0.0060 [1 per cell]
Ta  0.6995  0.2749  0.5129 [1 per cell]
Ta  0.8347  0.3355  0.0021 [1 per cell]
Ta  0.8587  0.9479  0.5168 [1 per cell]
Cu  0.2244  0.6910  0.2224 [1 per cell]
Cu  0.6319  0.2579  0.2938 [1 per cell]
Cu  0.8007  0.9205  0.2943 [1 per cell]
S  0.0088  0.4036  0.6374 [1 per cell]
S  0.0194  0.2115  0.8774 [1 per cell]
S  0.0848  0.2345  0.1233 [1 per cell]
S  0.1081  0.0456  0.3929 [1 per cell]
S  0.1753  0.0740  0.6384 [1 per cell]
S  0.1807  0.8753  0.8800 [1 per cell]
S  0.2547  0.9099  0.1265 [1 per cell]
S  0.2689  0.7122  0.3944 [1 per cell]
S  0.3390  0.5495  0.8830 [1 per cell]
S  0.3391  0.7354  0.6361 [1 per cell]
S  0.4222  0.5679  0.1264 [1 per cell]
S  0.4330  0.3788  0.3910 [1 per cell]
S  0.5168  0.2117  0.8816 [1 per cell]
S  0.5169  0.3972  0.6340 [1 per cell]
S  0.5867  0.2341  0.1222 [1 per cell]
S  0.5957  0.0388  0.3897 [1 per cell]
S  0.6750  0.0706  0.6358 [1 per cell]
S  0.6803  0.8722  0.8797 [1 per cell]
S  0.7538  0.9039  0.1226 [1 per cell]
S  0.7696  0.7064  0.3926 [1 per cell]
S  0.8367  0.7356  0.6385 [1 per cell]
S  0.8471  0.5430  0.8798 [1 per cell]
S  0.9133  0.5650  0.1263 [1 per cell]
S  0.9432  0.3810  0.3906 [1 per cell]

=====

# 3
This entry pairs a crystal structure of BaCdPb with its simulated PXRD pattern. Radiation: CuKα. Structure: a cell relaxed with PBE.

Top 6 peaks for 2θ from 10° to 90°, in order of rising 2θ:
index  Position (°2θ)  Rel. int.
1 1 1  27.9  50
3 1 -2  28.3  100
4 0 -3  32.8  41
0 2 0  33.0  53
3 1 0  34.5  78
4 2 -3  47.2  30

a = 12.3515 Å, b = 5.4316 Å, c = 8.6005 Å
α = 90.00°, β = 133.91°, γ = 90.00°
Space group C2/m (No. 12)
Unique sites:
Ba  0.0413  0.0000  0.2924 [4 per cell]
Cd  0.1581  0.5000  0.0999 [4 per cell]
Pb  0.1653  0.5000  0.7264 [4 per cell]

=====

# 4
This entry pairs a crystal structure of BaVS3 with its simulated PXRD pattern. Radiation: CuKα. Structure: a cell relaxed with PBE.

Top 6 peaks for 2θ from 10° to 90°, in order of rising 2θ:
index  Position (°2θ)  Rel. int.
1 0 1  21.7  59
1 1 0  26.4  56
2 0 1  34.5  100
1 0 2  34.9  23
2 0 2  44.3  32
2 2 0  54.4  25

a = 6.7468 Å, b = 6.7468 Å, c = 5.7287 Å
α = 90.00°, β = 90.00°, γ = 120.00°
Space group P6_3/mmc (No. 194)
Unique sites:
Ba  0.3333  0.6667  0.2500 [2 per cell]
V  0.0000  0.0000  0.0000 [2 per cell]
S  0.1627  0.3253  0.7500 [6 per cell]

=====

# 5
This entry pairs a crystal structure of CeSe2 with its simulated PXRD pattern. Radiation: CuKα. Structure: a cell relaxed with PBE.

Top 6 peaks for 2θ from 10° to 90°, in order of rising 2θ:
index  Position (°2θ)  Rel. int.
3 0 0  16.9  69
2 1 1  21.7  47
3 3 0  29.6  36
0 1 2  32.3  69
6 0 0  34.3  100
4 3 1  38.3  56

a = 18.1337 Å, b = 18.1337 Å, c = 5.6386 Å
α = 90.00°, β = 90.00°, γ = 120.00°
Space group R-3c (No. 167, hexagonal axes)
Unique sites:
Ce  0.0000  0.1788  0.2500 [18 per cell]
Se  0.0000  0.1228  0.7500 [18 per cell]
Se  0.0000  0.5000  0.0000 [18 per cell]

=====

# 6
This entry pairs a crystal structure of MgNb4N4O4 with its simulated PXRD pattern. Radiation: CuKα. Structure: a cell relaxed with PBE.

Top 6 peaks for 2θ from 10° to 90°, in order of rising 2θ:
index  Position (°2θ)  Rel. int.
0 0 1  16.5  94
-1 1 1  28.8  65
1 -1 1  31.3  100
1 1 -1  33.2  84
1 1 2  35.7  76
-1 1 2  40.3  63

a = 5.1454 Å, b = 5.3173 Å, c = 5.5952 Å
α = 75.02°, β = 82.03°, γ = 86.63°
Space group P-1 (No. 2)
Unique sites:
Mg  0.0000  0.0000  0.0000 [1 per cell]
Nb  0.0856  0.3123  0.3371 [2 per cell]
Nb  0.4565  0.7977  0.3258 [2 per cell]
N  0.2283  0.9797  0.6038 [2 per cell]
N  0.2502  0.4850  0.5896 [2 per cell]
O  0.2117  0.6587  0.1186 [2 per cell]
O  0.3069  0.1475  0.0807 [2 per cell]

=====

# 7
This entry pairs a crystal structure of K2TiTlF6 with its simulated PXRD pattern. Radiation: CuKα. Structure: a cell relaxed with PBE.

Top 6 peaks for 2θ from 10° to 90°, in order of rising 2θ:
index  Position (°2θ)  Rel. int.
1 1 1  16.6  34
2 0 0  19.2  57
2 2 0  27.3  100
3 1 1  32.1  37
4 0 0  38.9  40
4 2 2  48.2  38

a = 9.2501 Å, b = 9.2501 Å, c = 9.2501 Å
α = 90.00°, β = 90.00°, γ = 90.00°
Space group Fm-3m (No. 225)
Unique sites:
K  0.2500  0.2500  0.2500 [8 per cell]
Ti  0.0000  0.0000  0.0000 [4 per cell]
Tl  0.0000  0.0000  0.5000 [4 per cell]
F  0.0000  0.0000  0.2147 [24 per cell]

=====

# 8
This entry pairs a crystal structure of Mg5Si9 with its simulated PXRD pattern. Radiation: CuKα. Structure: a cell relaxed with PBE.

Top 6 peaks for 2θ from 10° to 90°, in order of rising 2θ:
index  Position (°2θ)  Rel. int.
2 1 3  32.6  65
1 2 3  32.9  64
-1 1 3  34.3  100
0 2 -3  35.1  77
1 1 -4  35.4  89
3 3 2  47.0  51

a = 6.8881 Å, b = 7.3050 Å, c = 11.8347 Å
α = 88.09°, β = 82.75°, γ = 65.21°
Space group P1 (No. 1)
Unique sites:
Mg  0.0000  0.0000  0.0000 [1 per cell]
Mg  0.0236  0.1461  0.7069 [1 per cell]
Mg  0.0632  0.7218  0.7804 [1 per cell]
Mg  0.1028  0.4716  0.5505 [1 per cell]
Mg  0.2759  0.5348  0.0499 [1 per cell]
Mg  0.3545  0.8253  0.2080 [1 per cell]
Mg  0.5213  0.5058  0.6006 [1 per cell]
Mg  0.6911  0.9317  0.6154 [1 per cell]
Mg  0.7341  0.9810  0.2441 [1 per cell]
Mg  0.9183  0.1803  0.4221 [1 per cell]
Si  0.0387  0.3876  0.9232 [1 per cell]
Si  0.0647  0.7452  0.3693 [1 per cell]
Si  0.1626  0.2549  0.2493 [1 per cell]
Si  0.1667  0.8452  0.5404 [1 per cell]
Si  0.2579  0.1578  0.0569 [1 per cell]
Si  0.3026  0.3014  0.7536 [1 per cell]
Si  0.3631  0.4228  0.3011 [1 per cell]
Si  0.4367  0.7059  0.8540 [1 per cell]
Si  0.4401  0.9233  0.4242 [1 per cell]
Si  0.5063  0.2143  0.4583 [1 per cell]
Si  0.5532  0.9135  0.9491 [1 per cell]
Si  0.6487  0.3454  0.1446 [1 per cell]
Si  0.6593  0.1266  0.8228 [1 per cell]
Si  0.6847  0.3908  0.9295 [1 per cell]
Si  0.7755  0.5743  0.7279 [1 per cell]
Si  0.7756  0.6245  0.4027 [1 per cell]
Si  0.8353  0.5226  0.2055 [1 per cell]
Si  0.8530  0.7153  0.0410 [1 per cell]

=====

# 9
This entry pairs a crystal structure of Ag with its simulated PXRD pattern. Radiation: CuKα. Structure: a cell relaxed with PBE.

Top 6 peaks for 2θ from 10° to 90°, in order of rising 2θ:
index  Position (°2θ)  Rel. int.
1 0 1  36.4  44
0 0 4  37.5  36
1 0 2  40.0  100
1 0 3  45.4  23
1 1 0  63.0  22
1 1 4  75.7  25

a = 2.9512 Å, b = 2.9512 Å, c = 9.5858 Å
α = 90.00°, β = 90.00°, γ = 120.00°
Space group P6_3/mmc (No. 194)
Unique sites:
Ag  0.0000  0.0000  0.0000 [2 per cell]
Ag  0.3333  0.6667  0.2500 [2 per cell]

=====

# 10
This entry pairs a crystal structure of Mg14TiFe with its simulated PXRD pattern. Radiation: CuKα. Structure: a cell relaxed with PBE.

Top 6 peaks for 2θ from 10° to 90°, in order of rising 2θ:
index  Position (°2θ)  Rel. int.
0 2 2  33.5  29
4 0 0  36.0  39
2 0 4  37.3  59
2 2 2  38.2  100
0 2 6  58.7  18
4 2 6  70.8  19

a = 9.9869 Å, b = 6.1158 Å, c = 10.9935 Å
α = 90.00°, β = 90.00°, γ = 90.00°
Space group Amm2 (No. 38)
Unique sites:
Mg  0.0000  0.0000  0.0000 [2 per cell]
Mg  0.0000  0.0000  0.4980 [2 per cell]
Mg  0.0000  0.2479  0.2511 [4 per cell]
Mg  0.2497  0.0000  0.6605 [4 per cell]
Mg  0.2661  0.2460  0.9189 [8 per cell]
Mg  0.2675  0.0000  0.1556 [4 per cell]
Mg  0.5000  0.2447  0.7518 [4 per cell]
Ti  0.5000  0.0000  0.5066 [2 per cell]
Fe  0.5000  0.0000  0.0016 [2 per cell]

=====

# 11
This entry pairs a crystal structure of Mg3Sc with its simulated PXRD pattern. Radiation: CuKα. Structure: a cell relaxed with PBE.

Top 6 peaks for 2θ from 10° to 90°, in order of rising 2θ:
index  Position (°2θ)  Rel. int.
1 0 0  19.7  8
1 1 1  34.5  100
2 0 0  40.0  49
2 2 0  57.9  31
3 1 1  69.1  34
2 2 2  72.7  10

a = 4.5064 Å, b = 4.5064 Å, c = 4.5064 Å
α = 90.00°, β = 90.00°, γ = 90.00°
Space group Pm-3m (No. 221)
Unique sites:
Mg  0.0000  0.0000  0.5000 [3 per cell]
Sc  0.5000  0.5000  0.5000 [1 per cell]